# RbPbBr3
Simulated PXRD pattern, Cu Ka. Input: DFT lattice parameters and positions (PBE).

Most intense lines, 2θ = 10–90°, by angle:
| 2theta | I/Imax |
| --- | --- |
| 11.75 | 51.3 |
| 19.59 | 76.5 |
| 20.53 | 36.1 |
| 26.54 | 96.5 |
| 27.70 | 53.4 |
| 30.95 | 78.7 |
| 31.55 | 38.4 |
| 37.94 | 38.0 |
| 39.27 | 100.0 |
| 39.93 | 35.9 |
| 41.70 | 33.9 |
| 48.45 | 38.5 |

Structure:
```
data_RbPbBr3
_chemical_formula_sum 'Rb2 Pb2 Br6'
_space_group_name_H-M_alt 'P 1'
_space_group_IT_number 1
_space_group_name_Hall 'P 1'
_cell_length_a 7.8652
_cell_length_b 7.8652
_cell_length_c 11.3429
_cell_angle_alpha 90.00
_cell_angle_beta 90.00
_cell_angle_gamma 146.63
loop_
_atom_site_label
_atom_site_type_symbol
_atom_site_fract_x
_atom_site_fract_y
_atom_site_fract_z
_atom_site_occupancy
Rb1 Rb 0.2457 0.7543 0.7500 1
Rb2 Rb 0.7543 0.2457 0.2500 1
Pb1 Pb 0.5000 0.5000 0.0000 1
Pb2 Pb 0.5000 0.5000 0.5000 1
Br1 Br 0.1332 0.8668 0.0552 1
Br2 Br 0.1332 0.8668 0.4448 1
Br3 Br 0.4283 0.5717 0.2500 1
Br4 Br 0.5717 0.4283 0.7500 1
Br5 Br 0.8668 0.1332 0.5552 1
Br6 Br 0.8668 0.1332 0.9448 1
```

---

# LaCuS2
Simulated PXRD pattern, Cu Ka. Input: DFT lattice parameters and positions (PBE).

Most intense lines, 2θ = 10–90°, by angle:
| 2theta | I/Imax |
| --- | --- |
| 21.22 | 25.7 |
| 23.41 | 100.0 |
| 27.60 | 41.9 |
| 30.05 | 30.2 |
| 31.11 | 72.6 |
| 33.37 | 37.2 |
| 35.83 | 42.9 |
| 36.85 | 21.4 |
| 39.42 | 25.9 |
| 40.57 | 17.4 |
| 41.01 | 18.9 |
| 41.25 | 26.1 |

Structure:
```
data_LaCuS2
_chemical_formula_sum 'La4 Cu4 S8'
_space_group_name_H-M_alt 'P 1'
_space_group_IT_number 1
_space_group_name_Hall 'P 1'
_cell_length_a 6.6056
_cell_length_b 7.3179
_cell_length_c 6.9460
_cell_angle_alpha 90.00
_cell_angle_beta 97.89
_cell_angle_gamma 90.00
loop_
_atom_site_label
_atom_site_type_symbol
_atom_site_fract_x
_atom_site_fract_y
_atom_site_fract_z
_atom_site_occupancy
La1 La 0.1898 0.0523 0.2995 1
La2 La 0.1898 0.4477 0.7995 1
La3 La 0.8102 0.5523 0.2005 1
La4 La 0.8102 0.9477 0.7005 1
Cu1 Cu 0.4280 0.6661 0.4565 1
Cu2 Cu 0.4280 0.8339 0.9565 1
Cu3 Cu 0.5720 0.1661 0.0435 1
Cu4 Cu 0.5720 0.3339 0.5435 1
S1 S 0.0903 0.7269 0.4993 1
S2 S 0.0903 0.7731 0.9993 1
S3 S 0.4133 0.1170 0.7216 1
S4 S 0.4133 0.3830 0.2216 1
S5 S 0.5867 0.6170 0.7784 1
S6 S 0.5867 0.8830 0.2784 1
S7 S 0.9097 0.2269 0.0007 1
S8 S 0.9097 0.2731 0.5007 1
```

---

# VPt3
Simulated PXRD pattern, Cu Ka. Input: DFT lattice parameters and positions (PBE).

Most intense lines, 2θ = 10–90°, by angle:
| 2theta | I/Imax |
| --- | --- |
| 29.46 | 14.1 |
| 39.64 | 30.0 |
| 39.83 | 100.0 |
| 41.10 | 11.1 |
| 46.27 | 62.6 |
| 58.42 | 9.4 |
| 67.37 | 17.0 |
| 67.63 | 21.5 |
| 81.09 | 8.9 |
| 81.34 | 22.7 |
| 81.46 | 12.8 |
| 85.88 | 10.9 |

Structure:
```
data_VPt3
_chemical_formula_sum 'V1 Pt3'
_space_group_name_H-M_alt 'P 1'
_space_group_IT_number 1
_space_group_name_Hall 'P 1'
_cell_length_a 9.2347
_cell_length_b 9.2347
_cell_length_c 9.2347
_cell_angle_alpha 17.25
_cell_angle_beta 17.25
_cell_angle_gamma 17.25
loop_
_atom_site_label
_atom_site_type_symbol
_atom_site_fract_x
_atom_site_fract_y
_atom_site_fract_z
_atom_site_occupancy
V1 V 0.0000 0.0000 0.0000 1
Pt1 Pt 0.2561 0.2561 0.2561 1
Pt2 Pt 0.5000 0.5000 0.5000 1
Pt3 Pt 0.7439 0.7439 0.7439 1
```

---

# LaN2Cl5
Simulated PXRD pattern, Cu Ka. Input: DFT lattice parameters and positions (PBE).

Most intense lines, 2θ = 10–90°, by angle:
| 2theta | I/Imax |
| --- | --- |
| 12.27 | 100.0 |
| 20.13 | 64.4 |
| 21.24 | 24.3 |
| 23.18 | 16.6 |
| 24.64 | 47.3 |
| 27.38 | 16.8 |
| 31.11 | 46.5 |
| 35.63 | 20.2 |
| 36.19 | 16.3 |
| 36.32 | 16.2 |
| 36.58 | 27.7 |
| 38.44 | 33.0 |

Structure:
```
data_LaN2Cl5
_chemical_formula_sum 'La4 N8 Cl20'
_space_group_name_H-M_alt 'P 1'
_space_group_IT_number 1
_space_group_name_Hall 'P 1'
_cell_length_a 8.6831
_cell_length_b 8.3667
_cell_length_c 12.9521
_cell_angle_alpha 90.00
_cell_angle_beta 90.00
_cell_angle_gamma 90.00
loop_
_atom_site_label
_atom_site_type_symbol
_atom_site_fract_x
_atom_site_fract_y
_atom_site_fract_z
_atom_site_occupancy
La1 La 0.0122 0.2500 0.0760 1
La2 La 0.4878 0.7500 0.5760 1
La3 La 0.5122 0.2500 0.4240 1
La4 La 0.9878 0.7500 0.9240 1
N1 N 0.0329 0.5388 0.5270 1
N2 N 0.0329 0.9612 0.5270 1
N3 N 0.4671 0.0388 0.0270 1
N4 N 0.4671 0.4612 0.0270 1
N5 N 0.5329 0.5388 0.9730 1
N6 N 0.5329 0.9612 0.9730 1
N7 N 0.9671 0.0388 0.4730 1
N8 N 0.9671 0.4612 0.4730 1
Cl1 Cl 0.0293 0.2500 0.6908 1
Cl2 Cl 0.1352 0.0460 0.9172 1
Cl3 Cl 0.1352 0.4540 0.9172 1
Cl4 Cl 0.2102 0.2500 0.2299 1
Cl5 Cl 0.2393 0.7500 0.1743 1
Cl6 Cl 0.2607 0.2500 0.6743 1
Cl7 Cl 0.2898 0.7500 0.7299 1
Cl8 Cl 0.3648 0.5460 0.4172 1
Cl9 Cl 0.3648 0.9540 0.4172 1
Cl10 Cl 0.4707 0.7500 0.1908 1
Cl11 Cl 0.5293 0.2500 0.8092 1
Cl12 Cl 0.6352 0.0460 0.5828 1
Cl13 Cl 0.6352 0.4540 0.5828 1
Cl14 Cl 0.7102 0.2500 0.2701 1
Cl15 Cl 0.7393 0.7500 0.3257 1
Cl16 Cl 0.7607 0.2500 0.8257 1
Cl17 Cl 0.7898 0.7500 0.7701 1
Cl18 Cl 0.8648 0.5460 0.0828 1
Cl19 Cl 0.8648 0.9540 0.0828 1
Cl20 Cl 0.9707 0.7500 0.3092 1
```

---

# Pr5NiSb2
Simulated PXRD pattern, Cu Ka. Input: DFT lattice parameters and positions (PBE).

Most intense lines, 2θ = 10–90°, by angle:
| 2theta | I/Imax |
| --- | --- |
| 26.39 | 30.4 |
| 29.98 | 100.0 |
| 30.16 | 94.1 |
| 30.81 | 85.6 |
| 32.43 | 73.1 |
| 33.12 | 36.5 |
| 34.48 | 31.9 |
| 39.64 | 42.3 |
| 48.72 | 16.3 |
| 50.60 | 29.9 |
| 52.92 | 15.2 |
| 61.15 | 26.6 |

Structure:
```
data_Pr5NiSb2
_chemical_formula_sum 'Pr20 Ni4 Sb8'
_space_group_name_H-M_alt 'P 1'
_space_group_IT_number 1
_space_group_name_Hall 'P 1'
_cell_length_a 12.6887
_cell_length_b 9.0949
_cell_length_c 8.3064
_cell_angle_alpha 90.00
_cell_angle_beta 90.00
_cell_angle_gamma 90.00
loop_
_atom_site_label
_atom_site_type_symbol
_atom_site_fract_x
_atom_site_fract_y
_atom_site_fract_z
_atom_site_occupancy
Pr1 Pr 0.0013 0.2500 0.0395 1
Pr2 Pr 0.0671 0.5349 0.3207 1
Pr3 Pr 0.0671 0.9651 0.3207 1
Pr4 Pr 0.1978 0.2500 0.6417 1
Pr5 Pr 0.2079 0.7500 0.6639 1
Pr6 Pr 0.2921 0.2500 0.1639 1
Pr7 Pr 0.3022 0.7500 0.1417 1
Pr8 Pr 0.4329 0.0349 0.8207 1
Pr9 Pr 0.4329 0.4651 0.8207 1
Pr10 Pr 0.4987 0.7500 0.5395 1
Pr11 Pr 0.5013 0.2500 0.4605 1
Pr12 Pr 0.5671 0.5349 0.1793 1
Pr13 Pr 0.5671 0.9651 0.1793 1
Pr14 Pr 0.6978 0.2500 0.8583 1
Pr15 Pr 0.7079 0.7500 0.8361 1
Pr16 Pr 0.7921 0.2500 0.3361 1
Pr17 Pr 0.8022 0.7500 0.3583 1
Pr18 Pr 0.9329 0.0349 0.6793 1
Pr19 Pr 0.9329 0.4651 0.6793 1
Pr20 Pr 0.9987 0.7500 0.9605 1
Ni1 Ni 0.0095 0.2500 0.4255 1
Ni2 Ni 0.4905 0.7500 0.9255 1
Ni3 Ni 0.5095 0.2500 0.0745 1
Ni4 Ni 0.9905 0.7500 0.5745 1
Sb1 Sb 0.1754 0.0053 0.9392 1
Sb2 Sb 0.1754 0.4947 0.9392 1
Sb3 Sb 0.3246 0.5053 0.4392 1
Sb4 Sb 0.3246 0.9947 0.4392 1
Sb5 Sb 0.6754 0.0053 0.5608 1
Sb6 Sb 0.6754 0.4947 0.5608 1
Sb7 Sb 0.8246 0.5053 0.0608 1
Sb8 Sb 0.8246 0.9947 0.0608 1
```

---

# Cs3PdF6
Simulated PXRD pattern, Cu Ka. Input: DFT lattice parameters and positions (PBE).

Most intense lines, 2θ = 10–90°, by angle:
| 2theta | I/Imax |
| --- | --- |
| 25.89 | 100.0 |
| 31.85 | 3.0 |
| 36.95 | 32.1 |
| 40.40 | 1.1 |
| 45.67 | 39.9 |
| 48.61 | 0.6 |
| 53.24 | 20.3 |
| 60.13 | 21.0 |
| 66.57 | 6.4 |
| 72.71 | 22.9 |
| 78.65 | 3.0 |
| 84.47 | 10.9 |

Structure:
```
data_Cs3PdF6
_chemical_formula_sum 'Cs3 Pd1 F6'
_space_group_name_H-M_alt 'P 1'
_space_group_IT_number 1
_space_group_name_Hall 'P 1'
_cell_length_a 6.8817
_cell_length_b 6.8817
_cell_length_c 6.8817
_cell_angle_alpha 60.00
_cell_angle_beta 60.00
_cell_angle_gamma 60.00
loop_
_atom_site_label
_atom_site_type_symbol
_atom_site_fract_x
_atom_site_fract_y
_atom_site_fract_z
_atom_site_occupancy
Cs1 Cs 0.0000 0.0000 0.0000 1
Cs2 Cs 0.2500 0.2500 0.2500 1
Cs3 Cs 0.7500 0.7500 0.7500 1
Pd1 Pd 0.5000 0.5000 0.5000 1
F1 F 0.2874 0.2874 0.7126 1
F2 F 0.2874 0.7126 0.2874 1
F3 F 0.2874 0.7126 0.7126 1
F4 F 0.7126 0.2874 0.2874 1
F5 F 0.7126 0.2874 0.7126 1
F6 F 0.7126 0.7126 0.2874 1
```

---

# BaSrSmNbO6
Simulated PXRD pattern, Cu Ka. Input: DFT lattice parameters and positions (PBE).

Most intense lines, 2θ = 10–90°, by angle:
| 2theta | I/Imax |
| --- | --- |
| 17.85 | 4.2 |
| 20.64 | 2.6 |
| 29.35 | 100.0 |
| 34.56 | 3.5 |
| 41.98 | 31.2 |
| 45.96 | 2.1 |
| 52.05 | 40.5 |
| 55.47 | 1.1 |
| 60.88 | 19.4 |
| 69.00 | 18.1 |
| 76.70 | 6.3 |
| 84.16 | 21.4 |

Structure:
```
data_BaSrSmNbO6
_chemical_formula_sum 'Ba1 Sr1 Sm1 Nb1 O6'
_space_group_name_H-M_alt 'P 1'
_space_group_IT_number 1
_space_group_name_Hall 'P 1'
_cell_length_a 6.0867
_cell_length_b 6.0867
_cell_length_c 6.0867
_cell_angle_alpha 60.00
_cell_angle_beta 60.00
_cell_angle_gamma 60.00
loop_
_atom_site_label
_atom_site_type_symbol
_atom_site_fract_x
_atom_site_fract_y
_atom_site_fract_z
_atom_site_occupancy
Ba1 Ba 0.0000 0.0000 0.0000 1
Sr1 Sr 0.5000 0.5000 0.5000 1
Sm1 Sm 0.2500 0.2500 0.2500 1
Nb1 Nb 0.7500 0.7500 0.7500 1
O1 O 0.5157 0.5157 0.9843 1
O2 O 0.5157 0.9843 0.5157 1
O3 O 0.5157 0.9843 0.9843 1
O4 O 0.9843 0.5157 0.5157 1
O5 O 0.9843 0.5157 0.9843 1
O6 O 0.9843 0.9843 0.5157 1
```

---

# TiMo2
Simulated PXRD pattern, Cu Ka. Input: DFT lattice parameters and positions (PBE).

Most intense lines, 2θ = 10–90°, by angle:
| 2theta | I/Imax |
| --- | --- |
| 13.32 | 18.1 |
| 35.14 | 5.9 |
| 39.16 | 27.0 |
| 40.19 | 100.0 |
| 40.72 | 24.0 |
| 48.98 | 3.5 |
| 57.77 | 16.3 |
| 58.50 | 7.9 |
| 71.65 | 17.0 |
| 72.67 | 8.2 |
| 73.74 | 23.3 |
| 86.80 | 10.5 |

Structure:
```
data_TiMo2
_chemical_formula_sum 'Ti1 Mo2'
_space_group_name_H-M_alt 'P 1'
_space_group_IT_number 1
_space_group_name_Hall 'P 1'
_cell_length_a 7.0345
_cell_length_b 6.8323
_cell_length_c 2.7897
_cell_angle_alpha 82.50
_cell_angle_beta 74.35
_cell_angle_gamma 23.15
loop_
_atom_site_label
_atom_site_type_symbol
_atom_site_fract_x
_atom_site_fract_y
_atom_site_fract_z
_atom_site_occupancy
Ti1 Ti 0.0000 0.0000 0.0000 1
Mo1 Mo 0.3316 0.3316 0.6684 1
Mo2 Mo 0.6684 0.6684 0.3316 1
```

---

# MgO
Simulated PXRD pattern, Cu Ka. Input: DFT lattice parameters and positions (PBE).

Most intense lines, 2θ = 10–90°, by angle:
| 2theta | I/Imax |
| --- | --- |
| 10.57 | 100.0 |
| 18.35 | 9.4 |
| 28.20 | 16.7 |
| 35.56 | 5.8 |
| 37.20 | 11.0 |
| 43.21 | 19.7 |
| 44.60 | 5.6 |
| 49.91 | 18.0 |
| 52.39 | 5.0 |
| 54.82 | 4.8 |
| 58.30 | 5.3 |
| 68.11 | 12.6 |

Structure:
```
data_MgO
_chemical_formula_sum 'Mg12 O12'
_space_group_name_H-M_alt 'P 1'
_space_group_IT_number 1
_space_group_name_Hall 'P 1'
_cell_length_a 9.6681
_cell_length_b 9.6681
_cell_length_c 4.1884
_cell_angle_alpha 90.00
_cell_angle_beta 90.00
_cell_angle_gamma 120.00
loop_
_atom_site_label
_atom_site_type_symbol
_atom_site_fract_x
_atom_site_fract_y
_atom_site_fract_z
_atom_site_occupancy
Mg1 Mg 0.1224 0.4540 0.0000 1
Mg2 Mg 0.1224 0.6684 0.5000 1
Mg3 Mg 0.3316 0.4540 0.5000 1
Mg4 Mg 0.3316 0.8776 0.0000 1
Mg5 Mg 0.4540 0.1224 0.5000 1
Mg6 Mg 0.4540 0.3316 0.0000 1
Mg7 Mg 0.5460 0.6684 0.0000 1
Mg8 Mg 0.5460 0.8776 0.5000 1
Mg9 Mg 0.6684 0.1224 0.0000 1
Mg10 Mg 0.6684 0.5460 0.5000 1
Mg11 Mg 0.8776 0.3316 0.5000 1
Mg12 Mg 0.8776 0.5460 0.0000 1
O1 O 0.1225 0.4513 0.5000 1
O2 O 0.1225 0.6711 0.0000 1
O3 O 0.3289 0.4513 0.0000 1
O4 O 0.3289 0.8775 0.5000 1
O5 O 0.4513 0.1225 0.0000 1
O6 O 0.4513 0.3289 0.5000 1
O7 O 0.5487 0.6711 0.5000 1
O8 O 0.5487 0.8775 0.0000 1
O9 O 0.6711 0.1225 0.5000 1
O10 O 0.6711 0.5487 0.0000 1
O11 O 0.8775 0.3289 0.0000 1
O12 O 0.8775 0.5487 0.5000 1
```